Record 1
Computed powder X-ray diffraction pattern of Dy4Y4Er3 for a wavelength of 1.5418 Å, from a PBE-relaxed structure.
Intensities are scaled so that the largest is 100.

Most intense lines, 2θ from 5° to 70°, low angle first:
| 2θ (°) | d_spacing | I/Imax |
| --- | --- | --- |
| 25.76 | 3.458 | 32 |
| 30.36 | 2.944 | 100 |
| 31.96 | 2.800 | 50 |
| 33.14 | 2.703 | 41 |
| 33.48 | 2.677 | 30 |
| 33.63 | 2.665 | 38 |
| 34.43 | 2.605 | 21 |
| 52.19 | 1.753 | 16 |
| 52.41 | 1.746 | 18 |
| 62.52 | 1.486 | 22 |

Crystal structure
a b c (Å): 10.8210 10.8210 10.8210
angles (deg): 161.25 117.66 65.72
Sites, in units of the cell vectors:
Dy 0.0723 0.8299 0.2424
Dy 0.4124 0.1701 0.2424
Dy 0.5876 0.8299 0.7576
Dy 0.9277 0.1701 0.7576
Y 0.2217 0.7217 0.5000
Y 0.2927 0.0000 0.2927
Y 0.7073 0.0000 0.7073
Y 0.7783 0.2783 0.5000
Er 0.0000 0.5000 0.5000
Er 0.3924 0.3924 0.0000
Er 0.6076 0.6076 0.0000

=====

Record 2
Computed powder X-ray diffraction pattern of DyY5Er3 for a wavelength of 1.5418 Å, from a PBE-relaxed structure.
Intensities are scaled so that the largest is 100.

Most intense lines, 2θ from 5° to 70°, low angle first:
| 2θ (°) | d_spacing | I/Imax |
| --- | --- | --- |
| 29.21 | 3.057 | 15 |
| 30.54 | 2.927 | 52 |
| 30.98 | 2.887 | 100 |
| 31.49 | 2.841 | 32 |
| 33.35 | 2.687 | 39 |
| 35.12 | 2.555 | 25 |
| 36.78 | 2.444 | 32 |
| 50.72 | 1.800 | 16 |
| 58.14 | 1.587 | 15 |
| 62.16 | 1.493 | 27 |

Crystal structure
a b c (Å): 9.7112 9.7112 6.9801
angles (deg): 100.26 100.26 63.83
Sites, in units of the cell vectors:
Dy 0.1863 0.8137 0.7500
Dy 0.8137 0.1863 0.2500
Y 0.1564 0.4882 0.4105
Y 0.1567 0.4877 0.9102
Y 0.1844 0.8156 0.2500
Y 0.4882 0.1564 0.9105
Y 0.4877 0.1567 0.4102
Y 0.5123 0.8433 0.5898
Y 0.5118 0.8436 0.0895
Y 0.8156 0.1844 0.7500
Y 0.8433 0.5123 0.0898
Y 0.8436 0.5118 0.5895
Er 0.1564 0.1568 0.0776
Er 0.1568 0.1564 0.5776
Er 0.5000 0.5000 0.0000
Er 0.5000 0.5000 0.5000
Er 0.8432 0.8436 0.4224
Er 0.8436 0.8432 0.9224

=====

Record 3
Computed powder X-ray diffraction pattern of Dy4Er3Zn4 for a wavelength of 1.5418 Å, from a PBE-relaxed structure.
Intensities are scaled so that the largest is 100.

Most intense lines, 2θ from 5° to 70°, low angle first:
| 2θ (°) | d_spacing | I/Imax |
| --- | --- | --- |
| 24.13 | 3.688 | 22 |
| 28.20 | 3.165 | 20 |
| 30.62 | 2.919 | 28 |
| 31.19 | 2.868 | 33 |
| 31.92 | 2.804 | 100 |
| 32.92 | 2.720 | 31 |
| 35.41 | 2.535 | 52 |
| 35.69 | 2.516 | 35 |
| 40.18 | 2.244 | 22 |
| 42.35 | 2.134 | 18 |

Crystal structure
a b c (Å): 9.1227 9.1227 9.1227
angles (deg): 147.73 135.67 55.88
Sites, in units of the cell vectors:
Dy 0.0536 0.8208 0.2328
Dy 0.4120 0.1792 0.2328
Dy 0.5880 0.8208 0.7672
Dy 0.9464 0.1792 0.7672
Er 0.0000 0.5000 0.5000
Er 0.3992 0.3992 0.0000
Er 0.6008 0.6008 0.0000
Zn 0.1796 0.6796 0.5000
Zn 0.3148 0.0000 0.3148
Zn 0.6852 0.0000 0.6852
Zn 0.8204 0.3204 0.5000

=====

Record 4
Computed powder X-ray diffraction pattern of Dy5ErZn6 for a wavelength of 1.5418 Å, from a PBE-relaxed structure.
Intensities are scaled so that the largest is 100.

Most intense lines, 2θ from 5° to 70°, low angle first:
| 2θ (°) | d_spacing | I/Imax |
| --- | --- | --- |
| 24.89 | 3.577 | 7 |
| 25.04 | 3.557 | 14 |
| 35.62 | 2.521 | 100 |
| 35.70 | 2.515 | 20 |
| 44.01 | 2.057 | 7 |
| 51.07 | 1.788 | 7 |
| 51.38 | 1.778 | 14 |
| 57.94 | 1.592 | 6 |
| 63.87 | 1.457 | 14 |
| 64.07 | 1.453 | 28 |

Crystal structure
a b c (Å): 7.9542 7.9542 7.1536
angles (deg): 90.00 90.00 143.14
Sites, in units of the cell vectors:
Dy 0.0000 0.0000 0.0000
Dy 0.3328 0.6672 0.0000
Dy 0.3338 0.6662 0.5000
Dy 0.6662 0.3338 0.5000
Dy 0.6672 0.3328 0.0000
Er 0.0000 0.0000 0.5000
Zn 0.1659 0.8341 0.2515
Zn 0.1659 0.8341 0.7485
Zn 0.5000 0.5000 0.2515
Zn 0.5000 0.5000 0.7485
Zn 0.8341 0.1659 0.2515
Zn 0.8341 0.1659 0.7485

=====

Record 5
Computed powder X-ray diffraction pattern of DyEr6Zn for a wavelength of 1.5418 Å, from a PBE-relaxed structure.
Intensities are scaled so that the largest is 100.

Most intense lines, 2θ from 5° to 70°, low angle first:
| 2θ (°) | d_spacing | I/Imax |
| --- | --- | --- |
| 27.77 | 3.213 | 28 |
| 29.14 | 3.064 | 16 |
| 31.21 | 2.866 | 100 |
| 34.07 | 2.631 | 22 |
| 35.23 | 2.548 | 75 |
| 39.06 | 2.306 | 10 |
| 48.44 | 1.879 | 19 |
| 52.83 | 1.733 | 29 |
| 60.73 | 1.525 | 16 |
| 65.10 | 1.433 | 11 |

Crystal structure
a b c (Å): 6.1926 6.1926 6.1926
angles (deg): 95.52 95.52 95.52
Sites, in units of the cell vectors:
Dy 0.0000 0.0000 0.0000
Er 0.0751 0.5443 0.2635
Er 0.2635 0.0751 0.5443
Er 0.4557 0.7365 0.9249
Er 0.5443 0.2635 0.0751
Er 0.7365 0.9249 0.4557
Er 0.9249 0.4557 0.7365
Zn 0.5000 0.5000 0.5000

=====

Record 6
Computed powder X-ray diffraction pattern of Dy2Er4Zr for a wavelength of 1.5418 Å, from a PBE-relaxed structure.
Intensities are scaled so that the largest is 100.

Most intense lines, 2θ from 5° to 70°, low angle first:
| 2θ (°) | d_spacing | I/Imax |
| --- | --- | --- |
| 29.38 | 3.040 | 33 |
| 29.50 | 3.028 | 16 |
| 32.25 | 2.776 | 52 |
| 33.20 | 2.699 | 100 |
| 33.96 | 2.640 | 100 |
| 52.02 | 1.758 | 44 |
| 57.62 | 1.600 | 18 |
| 59.10 | 1.563 | 19 |
| 62.55 | 1.485 | 47 |
| 63.59 | 1.463 | 16 |

Crystal structure
a b c (Å): 6.0884 3.5162 19.5341
angles (deg): 90.00 95.96 90.00
Sites, in units of the cell vectors:
Dy 0.0000 0.0000 0.0000
Dy 0.0974 0.0000 0.2922
Dy 0.5000 0.5000 0.0000
Dy 0.5974 0.5000 0.2922
Er 0.1968 0.0000 0.5852
Er 0.2145 0.5000 0.1454
Er 0.2844 0.0000 0.8504
Er 0.3136 0.5000 0.4374
Er 0.6968 0.5000 0.5852
Er 0.7145 0.0000 0.1454
Er 0.7844 0.5000 0.8504
Er 0.8136 0.0000 0.4374
Zr 0.4071 0.5000 0.7179
Zr 0.9071 0.0000 0.7179

=====

Record 7
Computed powder X-ray diffraction pattern of Dy3Er4Zr for a wavelength of 1.5418 Å, from a PBE-relaxed structure.
Intensities are scaled so that the largest is 100.

Most intense lines, 2θ from 5° to 70°, low angle first:
| 2θ (°) | d_spacing | I/Imax |
| --- | --- | --- |
| 30.53 | 2.928 | 24 |
| 30.64 | 2.918 | 48 |
| 31.85 | 2.810 | 50 |
| 33.63 | 2.665 | 100 |
| 33.68 | 2.661 | 42 |
| 38.27 | 2.352 | 26 |
| 50.59 | 1.804 | 18 |
| 52.32 | 1.749 | 25 |
| 57.91 | 1.593 | 30 |
| 62.57 | 1.485 | 29 |

Crystal structure
a b c (Å): 23.2777 3.4851 6.0646
angles (deg): 90.00 105.08 90.00
Sites, in units of the cell vectors:
Dy 0.0000 0.0000 0.0000
Dy 0.1228 0.5000 0.2948
Dy 0.3772 0.0000 0.7052
Dy 0.5000 0.5000 0.0000
Dy 0.6228 0.0000 0.2948
Dy 0.8772 0.5000 0.7052
Er 0.1207 0.0000 0.7835
Er 0.2489 0.0000 0.2497
Er 0.2511 0.5000 0.7503
Er 0.3793 0.5000 0.2165
Er 0.6207 0.5000 0.7835
Er 0.7489 0.5000 0.2497
Er 0.7511 0.0000 0.7503
Er 0.8793 0.0000 0.2165
Zr 0.0000 0.5000 0.5000
Zr 0.5000 0.0000 0.5000

=====

Record 8
Computed powder X-ray diffraction pattern of Dy4Er2Zr for a wavelength of 1.5418 Å, from a PBE-relaxed structure.
Intensities are scaled so that the largest is 100.

Most intense lines, 2θ from 5° to 70°, low angle first:
| 2θ (°) | d_spacing | I/Imax |
| --- | --- | --- |
| 29.78 | 3.001 | 48 |
| 31.92 | 2.803 | 47 |
| 32.51 | 2.754 | 100 |
| 34.75 | 2.582 | 91 |
| 47.66 | 1.908 | 17 |
| 52.18 | 1.753 | 38 |
| 55.78 | 1.648 | 19 |
| 60.16 | 1.538 | 18 |
| 62.49 | 1.486 | 42 |
| 64.22 | 1.450 | 15 |

Crystal structure
a b c (Å): 6.0727 3.5058 19.6242
angles (deg): 90.00 90.00 90.00
Sites, in units of the cell vectors:
Dy 0.0000 0.0000 0.0000
Dy 0.0001 0.0000 0.2664
Dy 0.1674 0.5000 0.8489
Dy 0.1676 0.5000 0.5598
Dy 0.5000 0.5000 0.0000
Dy 0.5001 0.5000 0.2664
Dy 0.6674 0.0000 0.8489
Dy 0.6676 0.0000 0.5598
Er 0.3340 0.0000 0.4150
Er 0.3343 0.0000 0.7049
Er 0.8340 0.5000 0.4150
Er 0.8343 0.5000 0.7049
Zr 0.3332 0.0000 0.1340
Zr 0.8332 0.5000 0.1340

=====

Record 9
Computed powder X-ray diffraction pattern of Dy6Er3Zr for a wavelength of 1.5418 Å, from a PBE-relaxed structure.
Intensities are scaled so that the largest is 100.

Most intense lines, 2θ from 5° to 70°, low angle first:
| 2θ (°) | d_spacing | I/Imax |
| --- | --- | --- |
| 24.73 | 3.600 | 15 |
| 28.76 | 3.104 | 52 |
| 30.87 | 2.896 | 100 |
| 33.39 | 2.683 | 29 |
| 36.55 | 2.458 | 56 |
| 36.85 | 2.439 | 33 |
| 45.05 | 2.012 | 20 |
| 50.58 | 1.805 | 18 |
| 59.56 | 1.552 | 17 |
| 65.29 | 1.429 | 39 |

Crystal structure
a b c (Å): 4.8777 11.3927 11.3751
angles (deg): 90.00 90.05 90.00
Sites, in units of the cell vectors:
Dy 0.9995 0.0005 0.2144
Dy 0.0000 0.2143 0.9995
Dy 0.0000 0.2857 0.4995
Dy 0.9995 0.4995 0.7144
Dy 0.0005 0.5005 0.2856
Dy 0.0000 0.7143 0.5005
Dy 0.0000 0.7857 0.0005
Dy 0.0005 0.9995 0.7856
Dy 0.5003 0.1480 0.6481
Dy 0.5003 0.3520 0.1481
Dy 0.4997 0.6480 0.8519
Dy 0.4997 0.8520 0.3519
Er 0.5000 0.0000 0.0000
Er 0.4996 0.1463 0.3536
Er 0.4996 0.3537 0.8536
Er 0.5000 0.5000 0.5000
Er 0.5004 0.6463 0.1464
Er 0.5004 0.8537 0.6464
Zr 0.0000 0.0000 0.5000
Zr 0.0000 0.5000 0.0000

=====

Record 10
Computed powder X-ray diffraction pattern of DyEr4Zr for a wavelength of 1.5418 Å, from a PBE-relaxed structure.
Intensities are scaled so that the largest is 100.

Most intense lines, 2θ from 5° to 70°, low angle first:
| 2θ (°) | d_spacing | I/Imax |
| --- | --- | --- |
| 31.63 | 2.829 | 100 |
| 31.84 | 2.811 | 99 |
| 36.70 | 2.449 | 68 |
| 37.02 | 2.428 | 32 |
| 53.12 | 1.724 | 57 |
| 62.74 | 1.481 | 14 |
| 62.88 | 1.478 | 14 |
| 63.11 | 1.473 | 14 |
| 63.24 | 1.470 | 14 |
| 63.49 | 1.465 | 13 |

Crystal structure
a b c (Å): 3.4470 6.9599 7.6839
angles (deg): 103.06 102.93 90.15
Sites, in units of the cell vectors:
Dy 0.0000 0.0000 0.0000
Er 0.3378 0.1793 0.6765
Er 0.3401 0.6601 0.6794
Er 0.6599 0.3399 0.3206
Er 0.6622 0.8207 0.3235
Zr 0.0000 0.5000 0.0000

=====

Record 11
Computed powder X-ray diffraction pattern of Eu3Dy for a wavelength of 1.5418 Å, from a PBE-relaxed structure.
Intensities are scaled so that the largest is 100.

Most intense lines, 2θ from 5° to 70°, low angle first:
| 2θ (°) | d_spacing | I/Imax |
| --- | --- | --- |
| 29.24 | 3.054 | 26 |
| 29.55 | 3.023 | 26 |
| 29.96 | 2.983 | 100 |
| 42.06 | 2.148 | 20 |
| 52.30 | 1.749 | 21 |
| 52.69 | 1.737 | 21 |
| 53.44 | 1.714 | 10 |
| 53.64 | 1.709 | 10 |
| 62.26 | 1.491 | 12 |
| 69.41 | 1.354 | 13 |

Crystal structure
a b c (Å): 4.1432 6.0452 12.2170
angles (deg): 90.00 90.00 90.00
Sites, in units of the cell vectors:
Eu 0.0000 0.0000 0.0000
Eu 0.0000 0.5000 0.2442
Eu 0.0000 0.5000 0.7558
Eu 0.5000 0.0000 0.2558
Eu 0.5000 0.0000 0.7442
Eu 0.5000 0.5000 0.5000
Dy 0.0000 0.0000 0.5000
Dy 0.5000 0.5000 0.0000

=====

Record 12
Computed powder X-ray diffraction pattern of EuDyGaSn for a wavelength of 1.5418 Å, from a PBE-relaxed structure.
Intensities are scaled so that the largest is 100.

Most intense lines, 2θ from 5° to 70°, low angle first:
| 2θ (°) | d_spacing | I/Imax |
| --- | --- | --- |
| 20.49 | 4.334 | 2 |
| 23.70 | 3.753 | 7 |
| 33.77 | 2.654 | 100 |
| 39.83 | 2.263 | 1 |
| 41.68 | 2.167 | 2 |
| 48.51 | 1.877 | 18 |
| 53.18 | 1.722 | 1 |
| 54.68 | 1.679 | 3 |
| 60.41 | 1.532 | 38 |

Crystal structure
a b c (Å): 7.5069 7.5069 7.5069
angles (deg): 90.00 90.00 90.00
Sites, in units of the cell vectors:
Eu 0.0000 0.0000 0.0000
Eu 0.0000 0.5000 0.5000
Eu 0.5000 0.0000 0.5000
Eu 0.5000 0.5000 0.0000
Dy 0.0000 0.0000 0.5000
Dy 0.0000 0.5000 0.0000
Dy 0.5000 0.0000 0.0000
Dy 0.5000 0.5000 0.5000
Ga 0.2500 0.2500 0.7500
Ga 0.2500 0.7500 0.2500
Ga 0.7500 0.2500 0.2500
Ga 0.7500 0.7500 0.7500
Sn 0.2500 0.2500 0.2500
Sn 0.2500 0.7500 0.7500
Sn 0.7500 0.2500 0.7500
Sn 0.7500 0.7500 0.2500

=====

Record 13
Computed powder X-ray diffraction pattern of EuDyInHg for a wavelength of 1.5418 Å, from a PBE-relaxed structure.
Intensities are scaled so that the largest is 100.

Most intense lines, 2θ from 5° to 70°, low angle first:
| 2θ (°) | d_spacing | I/Imax |
| --- | --- | --- |
| 20.06 | 4.426 | 4 |
| 33.05 | 2.710 | 100 |
| 38.97 | 2.311 | 2 |
| 47.44 | 1.916 | 18 |
| 52.00 | 1.759 | 1 |
| 59.03 | 1.565 | 38 |
| 63.01 | 1.475 | 1 |
| 69.35 | 1.355 | 12 |

Crystal structure
a b c (Å): 7.6657 7.6657 7.6657
angles (deg): 90.00 90.00 90.00
Sites, in units of the cell vectors:
Eu 0.0000 0.0000 0.0000
Eu 0.0000 0.5000 0.5000
Eu 0.5000 0.0000 0.5000
Eu 0.5000 0.5000 0.0000
Dy 0.0000 0.0000 0.5000
Dy 0.0000 0.5000 0.0000
Dy 0.5000 0.0000 0.0000
Dy 0.5000 0.5000 0.5000
In 0.2500 0.2500 0.7500
In 0.2500 0.7500 0.2500
In 0.7500 0.2500 0.2500
In 0.7500 0.7500 0.7500
Hg 0.2500 0.2500 0.2500
Hg 0.2500 0.7500 0.7500
Hg 0.7500 0.2500 0.7500
Hg 0.7500 0.7500 0.2500

=====

Record 14
Computed powder X-ray diffraction pattern of EuDyNiIr for a wavelength of 1.5418 Å, from a PBE-relaxed structure.
Intensities are scaled so that the largest is 100.

Most intense lines, 2θ from 5° to 70°, low angle first:
| 2θ (°) | d_spacing | I/Imax |
| --- | --- | --- |
| 22.34 | 3.980 | 11 |
| 25.85 | 3.447 | 1 |
| 36.88 | 2.437 | 100 |
| 43.54 | 2.079 | 6 |
| 53.14 | 1.723 | 17 |
| 58.35 | 1.582 | 3 |
| 60.01 | 1.542 | 1 |
| 66.44 | 1.407 | 36 |

Crystal structure
a b c (Å): 6.8938 6.8938 6.8938
angles (deg): 90.00 90.00 90.00
Sites, in units of the cell vectors:
Eu 0.0000 0.0000 0.0000
Eu 0.0000 0.5000 0.5000
Eu 0.5000 0.0000 0.5000
Eu 0.5000 0.5000 0.0000
Dy 0.0000 0.0000 0.5000
Dy 0.0000 0.5000 0.0000
Dy 0.5000 0.0000 0.0000
Dy 0.5000 0.5000 0.5000
Ni 0.2500 0.2500 0.7500
Ni 0.2500 0.7500 0.2500
Ni 0.7500 0.2500 0.2500
Ni 0.7500 0.7500 0.7500
Ir 0.2500 0.2500 0.2500
Ir 0.2500 0.7500 0.7500
Ir 0.7500 0.2500 0.7500
Ir 0.7500 0.7500 0.2500